(1)
Diffraction record for Tb3Pr3Nd2. The powder diffraction line list is computed, not measured: it uses a crystal structure in Alexandria, relaxed with PBE and a wavelength of 1.5418 Å.

Atomic structure:
```
data_Tb3Pr3Nd2
_space_group_name_H-M_alt 'P 1'
_space_group_IT_number 1
_cell_length_a 5.8977
_cell_length_b 14.7714
_cell_length_c 6.3710
_cell_angle_alpha 90.00
_cell_angle_beta 90.00
_cell_angle_gamma 90.00
loop_
_space_group_symop_operation_xyz
'x,y,z'
loop_
_atom_site_label
_atom_site_type_symbol
_atom_site_fract_x
_atom_site_fract_y
_atom_site_fract_z
Tb1 Tb 0.2500 0.0008 0.1659
Tb2 Tb 0.2500 0.2500 0.1660
Tb3 Tb 0.2500 0.4992 0.1659
Tb4 Tb 0.7500 0.5008 0.8341
Tb5 Tb 0.7500 0.7500 0.8340
Tb6 Tb 0.7500 0.9992 0.8341
Pr1 Pr 0.2500 0.1239 0.6649
Pr2 Pr 0.2500 0.3761 0.6649
Pr3 Pr 0.2500 0.7500 0.1668
Pr4 Pr 0.7500 0.2500 0.8332
Pr5 Pr 0.7500 0.6239 0.3351
Pr6 Pr 0.7500 0.8761 0.3351
Nd1 Nd 0.2500 0.6245 0.6706
Nd2 Nd 0.2500 0.8755 0.6706
Nd3 Nd 0.7500 0.1245 0.3294
Nd4 Nd 0.7500 0.3755 0.3294
```

Main lines, by intensity (2θ = 15–90°):
2theta	I_rel
31.88	100
30.31	25
27.95	23
54.85	22
41.70	16
59.16	15
49.51	13
60.00	11
59.03	8
49.36	7
84.12	6
60.18	5

***

(2)
Diffraction record for Tb4PrNd10. The powder diffraction line list is computed, not measured: it uses a crystal structure in Alexandria, relaxed with PBE and a wavelength of 1.5418 Å.

Atomic structure:
```
data_Tb4PrNd10
_space_group_name_H-M_alt 'P 1'
_space_group_IT_number 1
_cell_length_a 9.6958
_cell_length_b 9.6958
_cell_length_c 9.6958
_cell_angle_alpha 97.26
_cell_angle_beta 97.26
_cell_angle_gamma 138.35
loop_
_space_group_symop_operation_xyz
'x,y,z'
loop_
_atom_site_label
_atom_site_type_symbol
_atom_site_fract_x
_atom_site_fract_y
_atom_site_fract_z
Tb1 Tb 0.0670 0.8234 0.8904
Tb2 Tb 0.1766 0.0670 0.2436
Tb3 Tb 0.8234 0.9330 0.7564
Tb4 Tb 0.9330 0.1766 0.1096
Pr1 Pr 0.5000 0.5000 0.0000
Nd1 Nd 0.0346 0.6175 0.1613
Nd2 Nd 0.1267 0.9654 0.5829
Nd3 Nd 0.2500 0.7500 0.5000
Nd4 Nd 0.3825 0.5438 0.4171
Nd5 Nd 0.4562 0.8733 0.8387
Nd6 Nd 0.5438 0.1267 0.1613
Nd7 Nd 0.6175 0.4562 0.5829
Nd8 Nd 0.7500 0.2500 0.5000
Nd9 Nd 0.8733 0.0346 0.4171
Nd10 Nd 0.9654 0.3825 0.8387
```

Main lines, by intensity (2θ = 15–90°):
2theta	I_rel
31.21	100
34.15	92
27.69	63
28.25	40
35.72	37
44.62	36
29.57	29
44.73	28
62.93	27
40.96	26
31.57	25
52.37	25

***

(3)
Diffraction record for TbPr4Nd2. The powder diffraction line list is computed, not measured: it uses a crystal structure in Alexandria, relaxed with PBE and a wavelength of 1.5418 Å.

Atomic structure:
```
data_TbPr4Nd2
_space_group_name_H-M_alt 'P 1'
_space_group_IT_number 1
_cell_length_a 11.7075
_cell_length_b 6.8561
_cell_length_c 11.9633
_cell_angle_alpha 71.13
_cell_angle_beta 33.65
_cell_angle_gamma 75.22
loop_
_space_group_symop_operation_xyz
'x,y,z'
loop_
_atom_site_label
_atom_site_type_symbol
_atom_site_fract_x
_atom_site_fract_y
_atom_site_fract_z
Tb1 Tb 0.0000 0.0000 0.0000
Tb2 Tb 0.2500 0.2500 0.2500
Pr1 Pr 0.0710 0.8042 0.7096
Pr2 Pr 0.3090 0.3238 0.5130
Pr3 Pr 0.3238 0.3090 0.8542
Pr4 Pr 0.3958 0.7370 0.9262
Pr5 Pr 0.5404 0.8348 0.1790
Pr6 Pr 0.7370 0.3958 0.9410
Pr7 Pr 0.8042 0.0710 0.4152
Pr8 Pr 0.8348 0.5404 0.4458
Nd1 Nd 0.0921 0.7285 0.4210
Nd2 Nd 0.4916 0.8290 0.5215
Nd3 Nd 0.7285 0.0921 0.7584
Nd4 Nd 0.8290 0.4916 0.1579
```

Main lines, by intensity (2θ = 15–90°):
2theta	I_rel
31.12	100
30.49	78
31.81	58
24.42	14
33.19	13
47.29	12
34.82	12
27.51	12
62.11	11
59.67	11
23.88	10
45.34	10

***

(4)
Diffraction record for Tb2PrNd3. The powder diffraction line list is computed, not measured: it uses a crystal structure in Alexandria, relaxed with PBE and a wavelength of 1.5418 Å.

Atomic structure:
```
data_Tb2PrNd3
_space_group_name_H-M_alt 'P 1'
_space_group_IT_number 1
_cell_length_a 6.3152
_cell_length_b 6.3152
_cell_length_c 12.0959
_cell_angle_alpha 110.34
_cell_angle_beta 110.34
_cell_angle_gamma 70.51
loop_
_space_group_symop_operation_xyz
'x,y,z'
loop_
_atom_site_label
_atom_site_type_symbol
_atom_site_fract_x
_atom_site_fract_y
_atom_site_fract_z
Tb1 Tb 0.0411 0.2911 0.0822
Tb2 Tb 0.2911 0.0411 0.5822
Tb3 Tb 0.7089 0.9589 0.4178
Tb4 Tb 0.9589 0.7089 0.9178
Pr1 Pr 0.3751 0.6249 0.7500
Pr2 Pr 0.6249 0.3751 0.2500
Nd1 Nd 0.1246 0.8754 0.2500
Nd2 Nd 0.2079 0.4585 0.4164
Nd3 Nd 0.4585 0.2079 0.9164
Nd4 Nd 0.5415 0.7921 0.0836
Nd5 Nd 0.7921 0.5415 0.5836
Nd6 Nd 0.8754 0.1246 0.7500
```

Main lines, by intensity (2θ = 15–90°):
2theta	I_rel
30.01	100
34.79	51
59.44	43
50.02	36
83.90	16
81.31	15
62.37	12
73.44	6
81.36	3